Starting from the GGA-PBE geometry in Alexandria, the PXRD pattern of ThZn2Pt2Au was calculated for a wavelength of 1.5418 Å.
Kinematic intensities with the Lorentz-polarization factor, no thermal factor.

Structure:
Lattice parameters (Å, degrees): 4.689 4.689 5.687 90.00 90.00 90.00
Space group P4/mmm (No. 123)
Asymmetric unit:
Th: 0.000 0.000 0.000 [1 per cell]
Zn: 0.000 0.500 0.500 [2 per cell]
Pt: 0.500 0.500 0.235 [2 per cell]
Au: 0.000 0.000 0.500 [1 per cell]

Peak list (6 most intense, 10 to 90 degrees two-theta, most intense first)
| hkl | 2theta | I/Imax |
| --- | --- | --- |
| 1 0 2 | 37.0 | 100 |
| 1 1 0 | 26.9 | 78 |
| 2 1 2 | 54.4 | 67 |
| 2 0 0 | 38.4 | 64 |
| 2 2 0 | 55.4 | 22 |
| 3 2 2 | 81.4 | 22 |

Starting from the GGA-PBE geometry in Alexandria, the PXRD pattern of Ce5Se6 was calculated for a wavelength of 1.5418 Å.
Kinematic intensities with the Lorentz-polarization factor, no thermal factor.

Structure:
Lattice parameters (Å, degrees): 7.278 12.615 7.261 90.00 109.50 90.00
Space group C2/m (No. 12)
Asymmetric unit:
Ce: 0.000 0.000 0.000 [2 per cell]
Ce: 0.000 0.167 0.500 [4 per cell]
Ce: 0.000 0.335 0.000 [4 per cell]
Se: 0.249 0.334 0.748 [8 per cell]
Se: 0.249 0.500 0.254 [4 per cell]

Peak list (6 most intense, 10 to 90 degrees two-theta, most intense first)
| hkl | 2theta | I/Imax |
| --- | --- | --- |
| 1 3 1 | 30.1 | 100 |
| 0 6 0 | 43.0 | 37 |
| 2 0 2 | 43.1 | 37 |
| 4 0 0 | 53.4 | 20 |
| 5 3 1 | 78.9 | 19 |
| 4 6 0 | 70.9 | 17 |

Starting from the GGA-PBE geometry in Alexandria, the PXRD pattern of HfMnS3 was calculated for a wavelength of 1.5418 Å.
Kinematic intensities with the Lorentz-polarization factor, no thermal factor.

Structure:
Lattice parameters (Å, degrees): 3.757 20.055 6.266 90.00 90.00 90.00
Space group Cmc2_1 (No. 36)
Asymmetric unit:
Hf: 0.000 0.166 0.000 [4 per cell]
Mn: 0.000 0.374 0.088 [4 per cell]
S: 0.000 0.073 0.748 [4 per cell]
S: 0.000 0.270 0.291 [4 per cell]
S: 0.000 0.383 0.715 [4 per cell]

Peak list (6 most intense, 10 to 90 degrees two-theta, most intense first)
| hkl | 2theta | I/Imax |
| --- | --- | --- |
| 1 1 1 | 28.0 | 100 |
| 0 2 1 | 16.7 | 80 |
| 0 4 0 | 17.7 | 67 |
| 1 5 1 | 35.7 | 66 |
| 0 4 1 | 22.7 | 66 |
| 1 3 2 | 39.8 | 51 |

Starting from the GGA-PBE geometry in Alexandria, the PXRD pattern of RbNb2Cd2O7 was calculated for a wavelength of 1.5418 Å.
Kinematic intensities with the Lorentz-polarization factor, no thermal factor.

Structure:
Lattice parameters (Å, degrees): 6.1761 6.1761 26.4472 90.00 90.00 120.00
Space group R32 (No. 155, hexagonal axes)
Asymmetric unit:
Rb: 0.0000 0.0000 0.0000 [3 per cell]
Nb: 0.0000 0.0000 0.4266 [6 per cell]
Cd: 0.0000 0.0000 0.2387 [6 per cell]
O: 0.0000 0.0000 0.5000 [3 per cell]
O: 0.0340 0.4032 0.0693 [18 per cell]

Peak list (6 most intense, 10 to 90 degrees two-theta, most intense first)
| hkl | 2theta | I/Imax |
| --- | --- | --- |
| 1 1 0 | 28.9 | 100 |
| 0 1 5 | 23.7 | 56 |
| 1 0 4 | 21.4 | 55 |
| 0 0 6 | 20.1 | 44 |
| 1 1 9 | 42.5 | 31 |
| 3 0 0 | 51.2 | 30 |

Starting from the GGA-PBE geometry in Alexandria, the PXRD pattern of GePt3 was calculated for a wavelength of 1.5418 Å.
Kinematic intensities with the Lorentz-polarization factor, no thermal factor.

Structure:
Lattice parameters (Å, degrees): 3.991 16.604 3.919 90.00 90.00 90.00
Space group Cmcm (No. 63)
Asymmetric unit:
Ge: 0.000 0.161 0.250 [4 per cell]
Pt: 0.000 0.066 0.750 [4 per cell]
Pt: 0.000 0.305 0.250 [4 per cell]
Pt: 0.000 0.439 0.750 [4 per cell]

Peak list (6 most intense, 10 to 90 degrees two-theta, most intense first)
| hkl | 2theta | I/Imax |
| --- | --- | --- |
| 1 3 1 | 36.0 | 100 |
| 1 5 1 | 42.3 | 64 |
| 2 0 0 | 45.4 | 28 |
| 0 0 2 | 46.3 | 26 |
| 0 8 0 | 43.6 | 24 |
| 2 0 2 | 66.9 | 18 |